Structure and theoretical X-ray diffraction stick pattern of KAlAs2O7 (the PBE geometry in Alexandria; Cu Ka).
No peak broadening, texture or thermal motion is included.

Largest 6 diffraction maxima, in order of rising 2θ, 10° ≤ 2θ ≤ 90°:
(hkl)  two_theta  I/Imax
0 1 0  14.43  44
-1 1 1  20.33  46
1 -1 1  22.11  59
1 1 -2  27.30  71
0 1 2  28.99  64
2 0 -1  29.15  100

Atomic structure:
```
KAlAs2O7
1.0
6.3028 0.0000 0.0000
-1.3784 6.2427 0.0000
-2.0941 -1.4729 7.9164
K Al As O
2 2 4 14
direct
0.0000 0.0000 0.0000
0.0000 0.0000 0.5000
0.3747 0.6883 0.2274
0.6253 0.3117 0.7726
0.1752 0.4706 0.8119
0.4883 0.2435 0.3361
0.5117 0.7565 0.6639
0.8248 0.5294 0.1881
0.0941 0.6866 0.2777
0.2176 0.6496 0.9903
0.2218 0.6379 0.6553
0.3203 0.3809 0.2200
0.3372 0.2888 0.8155
0.4135 0.9895 0.2211
0.4588 0.2480 0.5335
0.5412 0.7520 0.4665
0.5865 0.0105 0.7789
0.6628 0.7112 0.1845
0.6797 0.6191 0.7800
0.7782 0.3621 0.3447
0.7824 0.3504 0.0097
0.9059 0.3134 0.7223
```